Diffraction record for Hf9Re4Si. The X-ray powder pattern is theoretical, not measured: it uses DFT lattice parameters and positions (PBE) and a wavelength of 1.5418 Å.
Neutral-atom scattering factors, no anomalous dispersion.

Cell and atoms:
```
data_Hf9Re4Si
_symmetry_space_group_name_H-M 'P 63/m m c'
_symmetry_Int_Tables_number 194
_symmetry_space_group_name_Hall '-P 6c 2c'
_cell_length_a 8.5604
_cell_length_b 8.5604
_cell_length_c 8.6994
_cell_angle_alpha 90.00
_cell_angle_beta 90.00
_cell_angle_gamma 120.00
loop_
_atom_site_label
_atom_site_fract_x
_atom_site_fract_y
_atom_site_fract_z
_atom_site_occupancy
Hf1 0.0789 0.5394 0.2500 1
Hf2 0.1955 0.3910 0.5470 1
Re1 0.0000 0.0000 0.0000 1
Re2 0.1091 0.2182 0.2500 1
Si1 0.3333 0.6667 0.7500 1
```

Principal peaks in the range 2θ = 15–90°, sorted by position:
2θ 31.7, rel. 22, (2 0 2); 2θ 33.2, rel. 22, (1 0 3); 2θ 37.8, rel. 63, (3 0 1); 2θ 38.2, rel. 100, (2 1 2); 2θ 39.5, rel. 39, (2 0 3); 2θ 41.5, rel. 20, (0 0 4); 2θ 42.2, rel. 23, (2 2 0); 2θ 63.4, rel. 23, (3 2 3); 2θ 65.6, rel. 27, (3 0 5); 2θ 66.6, rel. 24, (5 0 2)